For CdPt4Au, a GGA-PBE-relaxed structure gives the simulated powder diffraction line list in this record (Cu Kα, 1.54184 Å).

Crystal structure
Cell: 5.596 9.015 17.414 Å, 90.00 90.00 90.00°
Space group Fddd (No. 70, origin choice 2)
Inequivalent atoms, fractional coordinates:
Cd 0.125 0.125 0.125 x8
Pt 0.124 0.374 0.517 x32
Au 0.125 0.125 0.625 x8

The 6 most intense peaks (15° ≤ 2θ ≤ 90°), low angle first:
d/Å, I (rel.)
4.353, 25
2.664, 22
2.440, 45
2.254, 36
2.086, 100
1.266, 20